# MgSe
Computed powder XRD pattern, Cu Kα X-rays. Input: the GGA-PBE geometry in Alexandria.

Structure:
```
data_MgSe
_cell_length_a 8.6100
_cell_length_b 10.9107
_cell_length_c 11.5851
_cell_angle_alpha 90.00
_cell_angle_beta 90.00
_cell_angle_gamma 90.00
_space_group_name_H-M_alt 'F d d d'
_space_group_IT_number 70
loop_
_space_group_symop_operation_xyz
'x,y,z'
'-x,-y,-z'
'-x+1/4,-y+1/4,z'
'x+1/4,y+1/4,-z'
'x,-y+1/4,-z+1/4'
'-x,y+1/4,z+1/4'
'-x+1/4,y,-z+1/4'
'x+1/4,-y,z+1/4'
'x,y+1/2,z+1/2'
'-x,-y+1/2,-z+1/2'
'-x+1/4,-y+3/4,z+1/2'
'x+1/4,y+3/4,-z+1/2'
'x,-y+3/4,-z+3/4'
'-x,y+3/4,z+3/4'
'-x+1/4,y+1/2,-z+3/4'
'x+1/4,-y+1/2,z+3/4'
'x+1/2,y,z+1/2'
'-x+1/2,-y,-z+1/2'
'-x+3/4,-y+1/4,z+1/2'
'x+3/4,y+1/4,-z+1/2'
'x+1/2,-y+1/4,-z+3/4'
'-x+1/2,y+1/4,z+3/4'
'-x+3/4,y,-z+3/4'
'x+3/4,-y,z+3/4'
'x+1/2,y+1/2,z'
'-x+1/2,-y+1/2,-z'
'-x+3/4,-y+3/4,z'
'x+3/4,y+3/4,-z'
'x+1/2,-y+3/4,-z+1/4'
'-x+1/2,y+3/4,z+1/4'
'-x+3/4,y+1/2,-z+1/4'
'x+3/4,-y+1/2,z+1/4'
loop_
_atom_site_label
_atom_site_type_symbol
_atom_site_fract_x
_atom_site_fract_y
_atom_site_fract_z
Mg1 Mg 0.1250 0.1250 0.2698
Se1 Se 0.1250 0.3095 0.1250
```

Top 10 peaks for 2θ from 10° to 90°, in order of rising 2θ:
index, 2theta, I (rel.)
1 1 1, 15.2, 100
0 2 2, 22.4, 63
2 0 2, 25.8, 65
1 3 1, 27.7, 35
1 3 3, 35.5, 50
2 2 4, 41.0, 40
4 0 0, 42.0, 18
1 5 1, 43.5, 21
3 3 3, 46.7, 23
2 0 6, 51.9, 16

---

# MgSe
Computed powder XRD pattern, Cu Kα X-rays. Input: the GGA-PBE geometry in Alexandria.

Structure:
```
data_MgSe
_cell_length_a 7.3125
_cell_length_b 7.3761
_cell_length_c 9.0696
_cell_angle_alpha 90.00
_cell_angle_beta 90.00
_cell_angle_gamma 90.00
_space_group_name_H-M_alt 'P 21 21 21'
_space_group_IT_number 19
loop_
_space_group_symop_operation_xyz
'x,y,z'
'-x+1/2,-y,z+1/2'
'x+1/2,-y+1/2,-z'
'-x,y+1/2,-z+1/2'
loop_
_atom_site_label
_atom_site_type_symbol
_atom_site_fract_x
_atom_site_fract_y
_atom_site_fract_z
Mg1 Mg 0.1340 0.0800 0.2336
Mg2 Mg 0.1524 0.6063 0.9769
Se1 Se 0.1867 0.4327 0.2256
Se2 Se 0.2040 0.0768 0.5194
```

Top 10 peaks for 2θ from 10° to 90°, in order of rising 2θ:
index, 2theta, I (rel.)
0 1 1, 15.5, 66
1 1 1, 19.7, 48
0 2 0, 24.1, 40
2 0 0, 24.3, 50
1 1 2, 26.1, 100
1 2 1, 28.8, 22
0 1 3, 32.0, 22
0 0 4, 39.8, 24
1 3 1, 39.9, 20
3 1 1, 40.2, 19

---

# MgSe
Computed powder XRD pattern, Cu Kα X-rays. Input: the GGA-PBE geometry in Alexandria.

Structure:
```
data_MgSe
_cell_length_a 5.5115
_cell_length_b 5.5115
_cell_length_c 5.5115
_cell_angle_alpha 90.00
_cell_angle_beta 90.00
_cell_angle_gamma 90.00
_space_group_name_H-M_alt 'F m -3 m'
_space_group_IT_number 225
_space_group_name_Hall '-F 4 2 3'
loop_
_atom_site_label
_atom_site_type_symbol
_atom_site_fract_x
_atom_site_fract_y
_atom_site_fract_z
Mg1 Mg 0.0000 0.0000 0.0000
Se1 Se 0.0000 0.0000 0.5000
```

Top 9 peaks for 2θ from 10° to 90°, in order of rising 2θ:
index, 2theta, I (rel.)
1 1 1, 28.0, 51
2 0 0, 32.5, 100
2 2 0, 46.6, 71
3 1 1, 55.3, 23
2 2 2, 58.0, 24
4 0 0, 68.0, 11
3 3 1, 75.1, 9
4 2 0, 77.4, 31
4 2 2, 86.5, 24

---

# Sm2MgSe3
Computed powder XRD pattern, Cu Kα X-rays. Input: the GGA-PBE geometry in Alexandria.

Structure:
```
data_Sm2MgSe3
_cell_length_a 4.0827
_cell_length_b 4.0827
_cell_length_c 17.5976
_cell_angle_alpha 90.00
_cell_angle_beta 90.00
_cell_angle_gamma 90.00
_space_group_name_H-M_alt 'I 4/m m m'
_space_group_IT_number 139
_space_group_name_Hall '-I 4 2'
loop_
_atom_site_label
_atom_site_type_symbol
_atom_site_fract_x
_atom_site_fract_y
_atom_site_fract_z
Sm1 Sm 0.0000 0.0000 0.1754
Mg1 Mg 0.0000 0.0000 0.5000
Se1 Se 0.0000 0.0000 0.0000
Se2 Se 0.0000 0.0000 0.3456
```

Top 10 peaks for 2θ from 10° to 90°, in order of rising 2θ:
index, 2theta, I (rel.)
0 0 2, 10.1, 34
0 0 6, 30.5, 46
1 1 0, 31.0, 100
1 0 5, 33.6, 30
1 1 6, 44.0, 67
2 0 0, 44.4, 37
2 0 6, 54.8, 35
2 2 6, 73.1, 15
3 1 0, 73.3, 16
3 1 6, 81.4, 22

---

# Sr2MgUSe5
Computed powder XRD pattern, Cu Kα X-rays. Input: the GGA-PBE geometry in Alexandria.

Structure:
```
data_Sr2MgUSe5
_cell_length_a 4.2642
_cell_length_b 17.8158
_cell_length_c 13.3464
_cell_angle_alpha 90.00
_cell_angle_beta 90.00
_cell_angle_gamma 90.00
_space_group_name_H-M_alt 'C m c 21'
_space_group_IT_number 36
loop_
_space_group_symop_operation_xyz
'x,y,z'
'-x,-y,z+1/2'
'-x,y,z'
'x,-y,z+1/2'
'x+1/2,y+1/2,z'
'-x+1/2,-y+1/2,z+1/2'
'-x+1/2,y+1/2,z'
'x+1/2,-y+1/2,z+1/2'
loop_
_atom_site_label
_atom_site_type_symbol
_atom_site_fract_x
_atom_site_fract_y
_atom_site_fract_z
Sr1 Sr 0.0000 0.1009 0.0000
Sr2 Sr 0.0000 0.1273 0.3679
Mg1 Mg 0.0000 0.4571 0.2268
U1 U 0.0000 0.2139 0.6576
Se1 Se 0.0000 0.0580 0.6206
Se2 Se 0.0000 0.2801 0.0138
Se3 Se 0.0000 0.3057 0.2983
Se4 Se 0.0000 0.3704 0.6780
Se5 Se 0.0000 0.4970 0.9048
```

Top 10 peaks for 2θ from 10° to 90°, in order of rising 2θ:
index, 2theta, I (rel.)
0 2 2, 16.6, 27
1 1 1, 22.5, 17
1 1 3, 29.4, 100
0 6 1, 30.9, 44
1 5 2, 35.5, 40
2 0 0, 42.4, 23
1 5 4, 42.8, 23
1 7 2, 43.6, 17
1 7 4, 49.9, 18
2 6 1, 53.3, 19

---

# Tb4MgSe5
Computed powder XRD pattern, Cu Kα X-rays. Input: the GGA-PBE geometry in Alexandria.

Structure:
```
data_Tb4MgSe5
_cell_length_a 4.0346
_cell_length_b 4.0346
_cell_length_c 50.6638
_cell_angle_alpha 90.00
_cell_angle_beta 90.00
_cell_angle_gamma 120.00
_space_group_name_H-M_alt 'R -3 m'
_space_group_IT_number 166
_space_group_name_Hall '-R 3 2"'
loop_
_atom_site_label
_atom_site_type_symbol
_atom_site_fract_x
_atom_site_fract_y
_atom_site_fract_z
Tb1 Tb 0.0000 0.0000 0.0991
Tb2 Tb 0.0000 0.0000 0.2982
Mg1 Mg 0.0000 0.0000 0.5000
Se1 Se 0.0000 0.0000 0.0000
Se2 Se 0.0000 0.0000 0.1972
Se3 Se 0.0000 0.0000 0.4008
```

Top 10 peaks for 2θ from 10° to 90°, in order of rising 2θ:
index, 2theta, I (rel.)
0 0 6, 10.5, 8
0 1 5, 27.0, 8
1 0 10, 31.1, 100
0 1 20, 44.2, 37
1 1 0, 44.9, 36
0 2 10, 55.7, 19
2 0 20, 64.8, 12
1 1 30, 73.1, 16
2 1 10, 74.2, 16
1 2 20, 82.3, 12